MgCd: theoretical powder XRD pattern (Cu Kα X-rays), based on a crystal structure in Alexandria, relaxed with GGA-PBE.
No peak broadening, texture or thermal motion is included.

Structural model:
Cell lengths 7.2005, 6.9519, 5.8116 Å; angles 68.01, 63.54, 48.45 degrees
Fractional positions:
Mg1 0.0598 0.6902 0.0598
Mg2 0.3098 0.9402 0.3098
Mg3 0.6902 0.0598 0.6902
Mg4 0.9402 0.3098 0.9402
Cd1 0.1924 0.5576 0.5576
Cd2 0.4424 0.8076 0.8076
Cd3 0.5576 0.1924 0.1924
Cd4 0.8076 0.4424 0.4424

Top 10 peaks for 2θ from 5° to 70°, in order of rising 2θ:
| d_spacing | I/Imax |
| --- | --- |
| 5.167 | 30 |
| 3.455 | 81 |
| 3.224 | 18 |
| 2.885 | 100 |
| 2.629 | 21 |
| 2.428 | 47 |
| 2.086 | 30 |
| 2.040 | 34 |
| 1.794 | 15 |
| 1.754 | 17 |